For BaCuMo2S8, the PBE geometry in Alexandria gives the theoretical powder X-ray diffraction pattern in this record (Cu Kα (λ = 1.5418 Å)).

Cell and atoms:
Cell lengths 6.0658, 6.0658, 26.7453 Å; angles 90.00, 90.00, 120.00 degrees
Space group R-3 (No. 148, hexagonal axes)
One atom of each set of equivalent atoms:
Ba 0.0000 0.0000 0.0000 (multiplicity 3)
Cu 0.0000 0.0000 0.5000 (multiplicity 3)
Mo 0.0000 0.0000 0.2479 (multiplicity 6)
S 0.0000 0.0000 0.3303 (multiplicity 6)
S 0.0014 0.3439 0.7791 (multiplicity 18)

Peak list (8 most intense, 2θ from 10° to 80°, sorted by position)
Position (°2θ), Rel. int., (hkl)
21.51, 100, 1 0 4
29.45, 46, 1 1 0
31.15, 32, 2 -1 3
31.73, 36, 0 1 8
36.76, 28, 0 2 4
47.79, 25, 2 1 4
50.84, 41, 2 -1 12
52.24, 28, 3 0 0



For BaCuN, the PBE geometry in Alexandria gives the theoretical powder X-ray diffraction pattern in this record (Cu Kα (λ = 1.5418 Å)).

Cell and atoms:
Cell lengths 14.580, 5.619, 9.564 Å; angles 90.00, 102.90, 90.00 degrees
Space group C2/c (No. 15)
One atom of each set of equivalent atoms:
Ba 0.000 0.217 0.250 (multiplicity 4)
Ba 0.168 0.262 0.629 (multiplicity 8)
Cu 0.074 0.268 0.940 (multiplicity 8)
Cu 0.250 0.250 0.000 (multiplicity 4)
N 0.000 0.500 0.000 (multiplicity 4)
N 0.159 0.042 0.894 (multiplicity 8)

Peak list (8 most intense, 2θ from 10° to 80°, sorted by position)
Position (°2θ), Rel. int., (hkl)
24.81, 35, 3 1 -1
25.08, 16, 2 0 2
27.93, 88, 3 1 1
31.85, 44, 0 2 0
32.29, 100, 1 1 -3
38.60, 32, 5 1 1
42.90, 22, 4 2 -2
57.03, 17, 1 3 -3